This entry pairs a crystal structure of Nd3PCl7 with its simulated X-ray powder pattern. Radiation: CuKα. Structure: a structure optimized by DFT (PBE).
Intensities are scaled so that the largest is 100.

Structural model:
a = 8.577 Å, b = 8.577 Å, c = 6.505 Å
α = 90.00°, β = 90.00°, γ = 120.00°
Fractional positions:
Nd1 0.007 0.503 0.000
Nd2 0.497 0.503 0.000
Nd3 0.497 0.993 0.000
P1 0.333 0.667 0.222
Cl1 0.184 0.368 0.768
Cl2 0.184 0.816 0.768
Cl3 0.360 0.180 0.208
Cl4 0.632 0.816 0.768
Cl5 0.667 0.333 0.765
Cl6 0.820 0.180 0.208
Cl7 0.820 0.640 0.208

Main lines, in order of rising 2θ (10° ≤ 2θ ≤ 90°):
d_spacing	2theta	intensity
7.428	11.9	45
6.505	13.6	93
4.894	18.1	27
3.714	24.0	26
3.225	27.7	100
2.447	36.7	67
2.144	42.1	33
2.037	44.5	28
1.873	48.6	27
1.786	51.2	17


This entry pairs a crystal structure of LaYCoRh2 with its simulated X-ray powder pattern. Radiation: CuKα. Structure: a structure optimized by DFT (PBE).
Intensities are scaled so that the largest is 100.

Structural model:
a = 4.760 Å, b = 4.760 Å, c = 5.637 Å
α = 90.00°, β = 90.00°, γ = 90.00°
Fractional positions:
La1 0.000 0.000 0.000
Y1 0.000 0.000 0.500
Co1 0.500 0.500 0.500
Rh1 0.000 0.500 0.000
Rh2 0.500 0.000 0.000

Main lines, in order of rising 2θ (10° ≤ 2θ ≤ 90°):
d_spacing	2theta	intensity
5.637	15.7	67
4.760	18.6	66
3.637	24.5	29
2.890	30.9	72
2.819	31.7	81
2.380	37.8	100
2.193	41.2	24
1.819	50.2	87
1.683	54.5	34
1.445	64.5	40


This entry pairs a crystal structure of Ca2Zn5Ag12 with its simulated X-ray powder pattern. Radiation: CuKα. Structure: a structure optimized by DFT (PBE).
Intensities are scaled so that the largest is 100.

Structural model:
a = 7.195 Å, b = 7.195 Å, c = 7.195 Å
α = 82.35°, β = 82.35°, γ = 82.35°
Fractional positions:
Ca1 0.153 0.153 0.153
Ca2 0.847 0.847 0.847
Zn1 0.000 0.500 0.500
Zn2 0.401 0.401 0.401
Zn3 0.500 0.000 0.500
Zn4 0.500 0.500 0.000
Zn5 0.599 0.599 0.599
Ag1 0.159 0.159 0.642
Ag2 0.159 0.642 0.159
Ag3 0.196 0.500 0.804
Ag4 0.196 0.804 0.500
Ag5 0.358 0.841 0.841
Ag6 0.500 0.196 0.804
Ag7 0.500 0.804 0.196
Ag8 0.642 0.159 0.159
Ag9 0.804 0.196 0.500
Ag10 0.804 0.500 0.196
Ag11 0.841 0.358 0.841
Ag12 0.841 0.841 0.358

Main lines, in order of rising 2θ (10° ≤ 2θ ≤ 90°):
d_spacing	2theta	intensity
4.737	18.7	51
2.735	32.7	24
2.665	33.6	28
2.368	38.0	36
2.361	38.1	98
2.337	38.5	37
2.113	42.8	100
2.096	43.2	31
1.367	68.6	20
1.354	69.4	18


This entry pairs a crystal structure of NaCe2Cl7 with its simulated X-ray powder pattern. Radiation: CuKα. Structure: a structure optimized by DFT (PBE).
Intensities are scaled so that the largest is 100.

Structural model:
a = 13.621 Å, b = 13.621 Å, c = 13.621 Å
α = 20.97°, β = 20.97°, γ = 20.97°
Fractional positions:
Na1 0.000 0.000 0.000
Ce1 0.430 0.430 0.430
Ce2 0.570 0.570 0.570
Cl1 0.078 0.078 0.078
Cl2 0.219 0.219 0.219
Cl3 0.362 0.362 0.362
Cl4 0.500 0.500 0.500
Cl5 0.638 0.638 0.638
Cl6 0.781 0.781 0.781
Cl7 0.922 0.922 0.922

Main lines, in order of rising 2θ (10° ≤ 2θ ≤ 90°):
d_spacing	2theta	intensity
6.658	13.3	78
4.439	20.0	26
4.269	20.8	74
4.197	21.2	53
3.782	23.5	34
2.479	36.2	100
2.376	37.9	80
2.323	38.8	33
1.715	53.4	28
1.411	66.3	28


This entry pairs a crystal structure of TbNdHoZn with its simulated X-ray powder pattern. Radiation: CuKα. Structure: a structure optimized by DFT (PBE).
Intensities are scaled so that the largest is 100.

Structural model:
a = 3.592 Å, b = 3.592 Å, c = 8.712 Å
α = 90.00°, β = 90.00°, γ = 90.00°
Fractional positions:
Tb1 0.000 0.000 0.000
Nd1 0.500 0.500 0.299
Ho1 0.000 0.000 0.595
Zn1 0.500 0.500 0.794

Main lines, in order of rising 2θ (10° ≤ 2θ ≤ 90°):
d_spacing	2theta	intensity
3.320	26.9	19
2.904	30.8	13
2.771	32.3	100
2.540	35.3	49
1.912	47.6	16
1.796	50.8	17
1.653	55.6	10
1.568	58.9	12
1.507	61.5	31
1.181	81.5	10


This entry pairs a crystal structure of Ba2ErAg2O6 with its simulated X-ray powder pattern. Radiation: CuKα. Structure: a structure optimized by DFT (PBE).
Intensities are scaled so that the largest is 100.

Structural model:
a = 6.932 Å, b = 6.932 Å, c = 6.932 Å
α = 54.42°, β = 54.42°, γ = 54.42°
Fractional positions:
Ba1 0.211 0.211 0.211
Ba2 0.789 0.789 0.789
Er1 0.000 0.000 0.000
Ag1 0.417 0.417 0.417
Ag2 0.583 0.583 0.583
O1 0.206 0.766 0.766
O2 0.234 0.234 0.794
O3 0.234 0.794 0.234
O4 0.766 0.206 0.766
O5 0.766 0.766 0.206
O6 0.794 0.234 0.234

Main lines, in order of rising 2θ (10° ≤ 2θ ≤ 90°):
d_spacing	2theta	intensity
3.169	28.2	100
2.970	30.1	74
2.167	41.7	34
1.830	49.8	20
1.789	51.1	38
1.681	54.6	10
1.668	55.0	11
1.585	58.2	17
1.398	66.9	15
1.198	80.1	11


This entry pairs a crystal structure of KCuHg2Br6 with its simulated X-ray powder pattern. Radiation: CuKα. Structure: a structure optimized by DFT (PBE).
Intensities are scaled so that the largest is 100.

Structural model:
a = 7.478 Å, b = 7.691 Å, c = 7.755 Å
α = 117.94°, β = 100.62°, γ = 99.74°
Fractional positions:
K1 0.000 0.000 0.000
Cu1 0.318 0.801 0.457
Hg1 0.330 0.452 0.769
Hg2 0.654 0.506 0.274
Br1 0.158 0.663 0.636
Br2 0.174 0.055 0.457
Br3 0.221 0.476 0.103
Br4 0.628 0.136 0.155
Br5 0.667 0.869 0.544
Br6 0.706 0.551 0.930

Main lines, in order of rising 2θ (10° ≤ 2θ ≤ 90°):
d_spacing	2theta	intensity
7.024	12.6	53
6.495	13.6	100
5.724	15.5	52
4.833	18.4	59
4.192	21.2	49
3.810	23.3	64
3.636	24.5	73
3.512	25.4	64
3.094	28.9	47
2.452	36.7	45


This entry pairs a crystal structure of Sr3Cd2Sn3 with its simulated X-ray powder pattern. Radiation: CuKα. Structure: a structure optimized by DFT (PBE).
Intensities are scaled so that the largest is 100.

Structural model:
a = 6.495 Å, b = 6.495 Å, c = 16.451 Å
α = 90.00°, β = 90.00°, γ = 134.06°
Fractional positions:
Sr1 0.089 0.911 0.609
Sr2 0.089 0.911 0.891
Sr3 0.365 0.635 0.750
Sr4 0.635 0.365 0.250
Sr5 0.911 0.089 0.109
Sr6 0.911 0.089 0.391
Cd1 0.211 0.789 0.098
Cd2 0.211 0.789 0.402
Cd3 0.789 0.211 0.598
Cd4 0.789 0.211 0.902
Sn1 0.341 0.659 0.250
Sn2 0.387 0.613 0.538
Sn3 0.387 0.613 0.962
Sn4 0.613 0.387 0.038
Sn5 0.613 0.387 0.462
Sn6 0.659 0.341 0.750

Main lines, in order of rising 2θ (10° ≤ 2θ ≤ 90°):
d_spacing	2theta	intensity
8.226	10.8	13
3.083	29.0	100
2.990	29.9	13
2.742	32.7	16
2.721	32.9	50
2.625	34.2	14
2.535	35.4	43
2.493	36.0	41
1.550	59.7	13
1.456	63.9	15


This entry pairs a crystal structure of Ba2TlIn6Hg with its simulated X-ray powder pattern. Radiation: CuKα. Structure: a structure optimized by DFT (PBE).
Intensities are scaled so that the largest is 100.

Structural model:
a = 14.860 Å, b = 14.860 Å, c = 14.860 Å
α = 29.35°, β = 29.35°, γ = 29.35°
Fractional positions:
Ba1 0.136 0.136 0.136
Ba2 0.303 0.303 0.303
Ba3 0.697 0.697 0.697
Ba4 0.864 0.864 0.864
Tl1 0.418 0.418 0.418
Tl2 0.582 0.582 0.582
In1 0.063 0.651 0.651
In2 0.191 0.191 0.787
In3 0.191 0.787 0.191
In4 0.213 0.809 0.809
In5 0.349 0.349 0.937
In6 0.349 0.937 0.349
In7 0.651 0.063 0.651
In8 0.651 0.651 0.063
In9 0.787 0.191 0.191
In10 0.809 0.213 0.809
In11 0.809 0.809 0.213
In12 0.937 0.349 0.349
Hg1 0.000 0.000 0.000
Hg2 0.500 0.500 0.500

Main lines, in order of rising 2θ (10° ≤ 2θ ≤ 90°):
d_spacing	2theta	intensity
6.236	14.2	48
3.765	23.6	70
3.331	26.8	64
3.046	29.3	38
2.875	31.1	100
2.759	32.5	34
2.587	34.7	43
2.462	36.5	43
2.079	43.5	31
1.883	48.3	48


This entry pairs a crystal structure of Pm8Sm6Mg with its simulated X-ray powder pattern. Radiation: CuKα. Structure: a structure optimized by DFT (PBE).
Intensities are scaled so that the largest is 100.

Structural model:
a = 9.479 Å, b = 9.479 Å, c = 6.535 Å
α = 90.00°, β = 90.00°, γ = 120.00°
Fractional positions:
Pm1 0.038 0.271 0.179
Pm2 0.233 0.962 0.179
Pm3 0.271 0.233 0.821
Pm4 0.333 0.667 0.139
Pm5 0.667 0.333 0.861
Pm6 0.729 0.767 0.179
Pm7 0.767 0.038 0.821
Pm8 0.962 0.729 0.821
Sm1 0.092 0.445 0.670
Sm2 0.354 0.908 0.670
Sm3 0.445 0.354 0.330
Sm4 0.555 0.646 0.670
Sm5 0.646 0.092 0.330
Sm6 0.908 0.555 0.330
Mg1 0.000 0.000 0.500

Main lines, in order of rising 2θ (10° ≤ 2θ ≤ 90°):
d_spacing	2theta	intensity
3.476	25.6	12
3.267	27.3	13
3.103	28.8	29
3.036	29.4	17
2.803	31.9	100
2.690	33.3	33
1.810	50.4	11
1.791	51.0	15
1.783	51.2	9
1.509	61.4	12


This entry pairs a crystal structure of PaTl2RuO8 with its simulated X-ray powder pattern. Radiation: CuKα. Structure: a structure optimized by DFT (PBE).
Intensities are scaled so that the largest is 100.

Structural model:
a = 5.086 Å, b = 6.683 Å, c = 5.086 Å
α = 90.00°, β = 91.85°, γ = 90.00°
Fractional positions:
Pa1 0.000 0.000 0.000
Tl1 0.500 0.260 0.500
Tl2 0.500 0.740 0.500
Ru1 0.000 0.500 0.000
O1 0.177 0.270 0.825
O2 0.177 0.730 0.825
O3 0.278 0.500 0.280
O4 0.299 0.000 0.301
O5 0.701 0.000 0.699
O6 0.722 0.500 0.720
O7 0.823 0.270 0.175
O8 0.823 0.730 0.175

Main lines, in order of rising 2θ (10° ≤ 2θ ≤ 90°):
d_spacing	2theta	intensity
3.654	24.4	62
3.538	25.2	55
2.792	32.1	100
2.542	35.3	33
1.896	48.0	42
1.863	48.9	37
1.511	61.3	32
1.396	67.0	11
1.164	82.9	15
1.152	84.0	11


This entry pairs a crystal structure of Th6Ga5 with its simulated X-ray powder pattern. Radiation: CuKα. Structure: a structure optimized by DFT (PBE).
Intensities are scaled so that the largest is 100.

Structural model:
a = 9.049 Å, b = 9.049 Å, c = 5.317 Å
α = 106.97°, β = 106.97°, γ = 121.85°
Fractional positions:
Th1 0.083 0.415 0.249
Th2 0.250 0.250 0.750
Th3 0.415 0.083 0.249
Th4 0.585 0.917 0.751
Th5 0.750 0.750 0.250
Th6 0.917 0.585 0.751
Ga1 0.162 0.838 0.500
Ga2 0.333 0.667 0.000
Ga3 0.500 0.500 0.500
Ga4 0.667 0.333 0.000
Ga5 0.838 0.162 0.500

Main lines, in order of rising 2θ (10° ≤ 2θ ≤ 90°):
d_spacing	2theta	intensity
3.744	23.8	86
3.516	25.3	36
2.658	33.7	55
2.636	34.0	54
2.567	35.0	100
2.559	35.1	99
1.872	48.6	40
1.518	61.0	20
1.507	61.5	40
1.463	63.6	27


This entry pairs a crystal structure of Pa3As2H with its simulated X-ray powder pattern. Radiation: CuKα. Structure: a structure optimized by DFT (PBE).
Intensities are scaled so that the largest is 100.

Structural model:
a = 6.573 Å, b = 6.573 Å, c = 6.684 Å
α = 90.00°, β = 90.00°, γ = 61.12°
Fractional positions:
Pa1 0.000 0.000 0.000
Pa2 0.000 0.000 0.500
Pa3 0.379 0.379 0.000
Pa4 0.379 0.379 0.500
Pa5 0.621 0.621 0.000
Pa6 0.621 0.621 0.500
As1 0.035 0.342 0.250
As2 0.342 0.035 0.750
As3 0.658 0.965 0.250
As4 0.965 0.658 0.750
H1 0.284 0.716 0.249
H2 0.716 0.284 0.749

Main lines, in order of rising 2θ (10° ≤ 2θ ≤ 90°):
d_spacing	2theta	intensity
3.342	26.7	100
3.286	27.1	56
2.878	31.1	44
2.363	38.1	66
2.343	38.4	86
2.144	42.1	41
1.918	47.4	29
1.805	50.6	28
1.494	62.1	31
1.434	65.0	27